Entry 1:
# Nd3Sb
Computed powder diffractogram, Cu Kα X-rays. Input: a structure optimized by DFT (GGA-PBE).
No peak broadening, texture or thermal motion is included.

Crystal structure
```
data_Nd3Sb
_chemical_formula_sum 'Nd24 Sb8'
_space_group_name_H-M_alt 'P 1'
_space_group_IT_number 1
_cell_length_a 12.871
_cell_length_b 12.871
_cell_length_c 6.293
_cell_angle_alpha 90.00
_cell_angle_beta 90.00
_cell_angle_gamma 90.00
loop_
_space_group_symop_operation_xyz
'x,y,z'
loop_
_atom_site_label
_atom_site_type_symbol
_atom_site_fract_x
_atom_site_fract_y
_atom_site_fract_z
Nd1 Nd 0.033 0.927 0.247
Nd2 Nd 0.073 0.533 0.747
Nd3 Nd 0.109 0.278 0.024
Nd4 Nd 0.140 0.833 0.726
Nd5 Nd 0.167 0.640 0.226
Nd6 Nd 0.222 0.109 0.476
Nd7 Nd 0.278 0.391 0.476
Nd8 Nd 0.333 0.860 0.226
Nd9 Nd 0.360 0.667 0.726
Nd10 Nd 0.391 0.222 0.024
Nd11 Nd 0.427 0.967 0.747
Nd12 Nd 0.467 0.573 0.247
Nd13 Nd 0.533 0.427 0.753
Nd14 Nd 0.573 0.033 0.253
Nd15 Nd 0.609 0.778 0.976
Nd16 Nd 0.640 0.333 0.274
Nd17 Nd 0.667 0.140 0.774
Nd18 Nd 0.722 0.609 0.524
Nd19 Nd 0.778 0.891 0.524
Nd20 Nd 0.833 0.360 0.774
Nd21 Nd 0.860 0.167 0.274
Nd22 Nd 0.891 0.722 0.976
Nd23 Nd 0.927 0.467 0.253
Nd24 Nd 0.967 0.073 0.753
Sb1 Sb 0.048 0.292 0.530
Sb2 Sb 0.208 0.048 0.970
Sb3 Sb 0.292 0.452 0.970
Sb4 Sb 0.452 0.208 0.530
Sb5 Sb 0.548 0.792 0.470
Sb6 Sb 0.708 0.548 0.030
Sb7 Sb 0.792 0.952 0.030
Sb8 Sb 0.952 0.708 0.470
```

Peak list (10 most intense, 10 to 90 degrees two-theta, by angle)
d [Å]	intensity
3.105	100
3.034	53
2.974	75
2.878	63
2.797	89
2.588	40
2.524	42
2.489	51
1.808	40
1.576	28

***

Entry 2:
# NdSb3
Computed powder diffractogram, Cu Kα X-rays. Input: a structure optimized by DFT (GGA-PBE).
No peak broadening, texture or thermal motion is included.

Crystal structure
```
data_NdSb3
_chemical_formula_sum 'Nd2 Sb6'
_space_group_name_H-M_alt 'P 1'
_space_group_IT_number 1
_cell_length_a 11.818
_cell_length_b 11.818
_cell_length_c 4.506
_cell_angle_alpha 90.00
_cell_angle_beta 90.00
_cell_angle_gamma 158.17
loop_
_space_group_symop_operation_xyz
'x,y,z'
loop_
_atom_site_label
_atom_site_type_symbol
_atom_site_fract_x
_atom_site_fract_y
_atom_site_fract_z
Nd1 Nd 0.072 0.928 0.750
Nd2 Nd 0.928 0.072 0.250
Sb1 Sb 0.182 0.818 0.250
Sb2 Sb 0.318 0.682 0.250
Sb3 Sb 0.448 0.552 0.750
Sb4 Sb 0.552 0.448 0.250
Sb5 Sb 0.682 0.318 0.750
Sb6 Sb 0.818 0.182 0.750
```

Peak list (10 most intense, 10 to 90 degrees two-theta, by angle)
d [Å]	intensity
2.938	100
2.901	53
2.621	98
2.253	31
2.238	31
1.779	26
1.772	25
1.588	21
1.556	19
1.393	32

***

Entry 3:
# NdSb6
Computed powder diffractogram, Cu Kα X-rays. Input: a structure optimized by DFT (GGA-PBE).
No peak broadening, texture or thermal motion is included.

Crystal structure
```
data_NdSb6
_chemical_formula_sum 'Nd1 Sb6'
_space_group_name_H-M_alt 'P 1'
_space_group_IT_number 1
_cell_length_a 7.199
_cell_length_b 7.199
_cell_length_c 7.199
_cell_angle_alpha 109.47
_cell_angle_beta 109.47
_cell_angle_gamma 109.47
loop_
_space_group_symop_operation_xyz
'x,y,z'
loop_
_atom_site_label
_atom_site_type_symbol
_atom_site_fract_x
_atom_site_fract_y
_atom_site_fract_z
Nd1 Nd 0.000 0.000 0.000
Sb1 Sb 0.250 0.500 0.750
Sb2 Sb 0.250 0.750 0.500
Sb3 Sb 0.500 0.250 0.750
Sb4 Sb 0.500 0.750 0.250
Sb5 Sb 0.750 0.250 0.500
Sb6 Sb 0.750 0.500 0.250
```

Peak list (10 most intense, 10 to 90 degrees two-theta, by angle)
d [Å]	intensity
4.156	41
3.394	100
2.400	29
2.222	62
2.078	32
1.859	18
1.772	15
1.518	18
1.469	21
1.348	19